(1)
Structure and simulated powder X-ray diffraction pattern of Dy2PdRu (a DFT-relaxed cell (GGA-PBE, the Materials Project); Cu Kα (weighted mean of Kα1 and Kα2)).
Neutral-atom scattering factors, no anomalous dispersion.

Cell and atoms:
a = 6.9154 Å, b = 6.9154 Å, c = 6.9154 Å
α = 90.00°, β = 90.00°, γ = 90.00°
Space group Fm-3m (No. 225)
One atom of each set of equivalent atoms:
Dy1 0.2500 0.2500 0.2500
Pd1 0.0000 0.0000 0.0000
Ru1 0.0000 0.0000 0.5000

Peak list (9 most intense, 15° ≤ 2θ ≤ 90°, sorted by position)
2θ = 25.77°, d = 3.458 Å, rel. 5, hkl 2 0 0
2θ = 36.76°, d = 2.445 Å, rel. 100, hkl 2 2 0
2θ = 45.43°, d = 1.996 Å, rel. 2, hkl 2 2 2
2θ = 52.96°, d = 1.729 Å, rel. 17, hkl 4 0 0
2θ = 59.81°, d = 1.546 Å, rel. 2, hkl 4 2 0
2θ = 66.20°, d = 1.412 Å, rel. 35, hkl 4 2 2
2θ = 78.19°, d = 1.222 Å, rel. 11, hkl 4 4 0
2θ = 83.96°, d = 1.153 Å, rel. 1, hkl 6 0 0
2θ = 89.67°, d = 1.093 Å, rel. 16, hkl 6 2 0

***

(2)
Structure and simulated powder X-ray diffraction pattern of Dy3Sb4Pd8 (a DFT-relaxed cell (GGA-PBE, the Materials Project); Cu Kα (weighted mean of Kα1 and Kα2)).
Neutral-atom scattering factors, no anomalous dispersion.

Cell and atoms:
a = 13.2656 Å, b = 13.2656 Å, c = 13.2656 Å
α = 90.00°, β = 90.00°, γ = 90.00°
Space group Fm-3m (No. 225)
One atom of each set of equivalent atoms:
Dy1 0.0000 0.0000 0.2245
Sb1 0.0000 0.0000 0.0000
Sb2 0.0000 0.0000 0.5000
Sb3 0.0000 0.2500 0.2500
Pd1 0.1188 0.1188 0.3812
Pd2 0.1664 0.1664 0.1664

Peak list (10 most intense, 15° ≤ 2θ ≤ 90°, sorted by position)
2θ = 30.13°, d = 2.966 Å, rel. 8, hkl 4 2 0
2θ = 33.08°, d = 2.708 Å, rel. 8, hkl 4 2 2
2θ = 35.15°, d = 2.553 Å, rel. 34, hkl 3 3 3
2θ = 38.39°, d = 2.345 Å, rel. 100, hkl 4 4 0
2θ = 40.22°, d = 2.242 Å, rel. 7, hkl 5 3 1
2θ = 55.41°, d = 1.658 Å, rel. 9, hkl 8 0 0
2θ = 67.34°, d = 1.391 Å, rel. 9, hkl 9 3 1
2θ = 69.42°, d = 1.354 Å, rel. 21, hkl 8 4 4
2θ = 73.90°, d = 1.282 Å, rel. 8, hkl 9 5 1
2θ = 82.22°, d = 1.173 Å, rel. 8, hkl 8 8 0

***

(3)
Structure and simulated powder X-ray diffraction pattern of DySiPd2 (a DFT-relaxed cell (GGA-PBE, the Materials Project); Cu Kα (weighted mean of Kα1 and Kα2)).
Neutral-atom scattering factors, no anomalous dispersion.

Cell and atoms:
a = 7.3539 Å, b = 6.9650 Å, c = 5.5444 Å
α = 90.00°, β = 90.00°, γ = 90.00°
Space group Pnma (No. 62)
One atom of each set of equivalent atoms:
Dy1 0.0299 0.2500 0.1442
Si1 0.1215 0.7500 0.3549
Pd1 0.1781 0.0511 0.5937

Peak list (10 most intense, 15° ≤ 2θ ≤ 90°, sorted by position)
2θ = 31.91°, d = 2.805 Å, rel. 72, hkl 2 1 1
2θ = 32.72°, d = 2.737 Å, rel. 75, hkl 1 2 1
2θ = 34.58°, d = 2.594 Å, rel. 54, hkl 1 0 2
2θ = 35.50°, d = 2.528 Å, rel. 92, hkl 2 2 0
2θ = 36.98°, d = 2.431 Å, rel. 100, hkl 1 1 2
2θ = 39.16°, d = 2.301 Å, rel. 44, hkl 2 2 1
2θ = 40.22°, d = 2.242 Å, rel. 72, hkl 3 0 1
2θ = 42.20°, d = 2.141 Å, rel. 35, hkl 0 3 1
2θ = 44.04°, d = 2.056 Å, rel. 40, hkl 1 3 1
2θ = 64.70°, d = 1.441 Å, rel. 55, hkl 4 3 0

***

(4)
Structure and simulated powder X-ray diffraction pattern of Dy3Si6Pd20 (a DFT-relaxed cell (GGA-PBE, the Materials Project); Cu Kα (weighted mean of Kα1 and Kα2)).
Neutral-atom scattering factors, no anomalous dispersion.

Cell and atoms:
a = 12.3313 Å, b = 12.3313 Å, c = 12.3313 Å
α = 90.00°, β = 90.00°, γ = 90.00°
Space group Fm-3m (No. 225)
One atom of each set of equivalent atoms:
Dy1 0.0000 0.0000 0.0000
Dy2 0.2500 0.2500 0.2500
Si1 0.0000 0.0000 0.2675
Pd1 0.0000 0.1726 0.1726
Pd2 0.1165 0.1165 0.3835

Peak list (10 most intense, 15° ≤ 2θ ≤ 90°, sorted by position)
2θ = 32.47°, d = 2.757 Å, rel. 23, hkl 4 2 0
2θ = 35.67°, d = 2.517 Å, rel. 36, hkl 4 2 2
2θ = 37.91°, d = 2.373 Å, rel. 100, hkl 3 3 3
2θ = 41.42°, d = 2.180 Å, rel. 33, hkl 4 4 0
2θ = 43.41°, d = 2.084 Å, rel. 22, hkl 5 3 1
2θ = 44.06°, d = 2.055 Å, rel. 9, hkl 6 0 0
2θ = 49.00°, d = 1.859 Å, rel. 12, hkl 6 2 2
2θ = 64.08°, d = 1.453 Å, rel. 30, hkl 6 6 0
2θ = 65.56°, d = 1.424 Å, rel. 15, hkl 5 5 5
2θ = 75.55°, d = 1.259 Å, rel. 21, hkl 8 4 4

***

(5)
Structure and simulated powder X-ray diffraction pattern of Dy2SiPd2 (a DFT-relaxed cell (GGA-PBE, the Materials Project); Cu Kα (weighted mean of Kα1 and Kα2)).
Neutral-atom scattering factors, no anomalous dispersion.

Cell and atoms:
a = 7.5181 Å, b = 13.9298 Å, c = 4.1503 Å
α = 90.00°, β = 90.00°, γ = 90.00°
Space group Pnnm (No. 58)
One atom of each set of equivalent atoms:
Dy1 0.0351 0.1255 0.0000
Dy2 0.0481 0.6309 0.0000
Si1 0.1536 0.4711 0.5000
Pd1 0.1712 0.2811 0.5000
Pd2 0.1795 0.9862 0.5000

Peak list (10 most intense, 15° ≤ 2θ ≤ 90°, sorted by position)
2θ = 24.50°, d = 3.633 Å, rel. 35, hkl 1 0 1
2θ = 25.33°, d = 3.516 Å, rel. 15, hkl 1 1 1
2θ = 34.68°, d = 2.587 Å, rel. 32, hkl 2 2 1
2θ = 35.13°, d = 2.555 Å, rel. 50, hkl 2 4 0
2θ = 35.71°, d = 2.514 Å, rel. 100, hkl 1 4 1
2θ = 38.17°, d = 2.358 Å, rel. 14, hkl 3 2 0
2θ = 42.12°, d = 2.145 Å, rel. 43, hkl 3 0 1
2θ = 43.62°, d = 2.075 Å, rel. 29, hkl 0 0 2
2θ = 57.19°, d = 1.611 Å, rel. 24, hkl 2 4 2
2θ = 68.04°, d = 1.378 Å, rel. 18, hkl 4 6 1

***

(6)
Structure and simulated powder X-ray diffraction pattern of DySi2Pd2 (a DFT-relaxed cell (GGA-PBE, the Materials Project); Cu Kα (weighted mean of Kα1 and Kα2)).
Neutral-atom scattering factors, no anomalous dispersion.

Cell and atoms:
a = 4.1422 Å, b = 4.1422 Å, c = 10.0276 Å
α = 90.00°, β = 90.00°, γ = 90.00°
Space group I4/mmm (No. 139)
One atom of each set of equivalent atoms:
Dy1 0.0000 0.0000 0.0000
Si1 0.0000 0.0000 0.3845
Pd1 0.0000 0.5000 0.2500

Peak list (10 most intense, 15° ≤ 2θ ≤ 90°, sorted by position)
2θ = 23.23°, d = 3.828 Å, rel. 26, hkl 1 0 1
2θ = 34.48°, d = 2.601 Å, rel. 27, hkl 1 0 3
2θ = 35.50°, d = 2.529 Å, rel. 100, hkl 1 1 2
2θ = 35.82°, d = 2.507 Å, rel. 17, hkl 0 0 4
2θ = 43.71°, d = 2.071 Å, rel. 35, hkl 2 0 0
2θ = 56.82°, d = 1.620 Å, rel. 13, hkl 2 1 3
2θ = 57.74°, d = 1.597 Å, rel. 17, hkl 2 0 4
2θ = 63.53°, d = 1.465 Å, rel. 12, hkl 2 2 0
2θ = 64.16°, d = 1.452 Å, rel. 15, hkl 1 1 6
2θ = 74.93°, d = 1.267 Å, rel. 22, hkl 3 1 2

***

(7)
Structure and simulated powder X-ray diffraction pattern of DySnPd (a DFT-relaxed cell (GGA-PBE, the Materials Project); Cu Kα (weighted mean of Kα1 and Kα2)).
Neutral-atom scattering factors, no anomalous dispersion.

Cell and atoms:
a = 7.2295 Å, b = 4.6343 Å, c = 8.0107 Å
α = 90.00°, β = 90.00°, γ = 90.00°
Space group Pnma (No. 62)
One atom of each set of equivalent atoms:
Dy1 0.0088 0.2500 0.2063
Sn1 0.1948 0.2500 0.5869
Pd1 0.2047 0.7500 0.4145

Peak list (10 most intense, 15° ≤ 2θ ≤ 90°, sorted by position)
2θ = 32.02°, d = 2.795 Å, rel. 28, hkl 1 1 2
2θ = 33.37°, d = 2.685 Å, rel. 100, hkl 2 1 1
2θ = 38.87°, d = 2.317 Å, rel. 29, hkl 0 2 0
2θ = 38.93°, d = 2.314 Å, rel. 44, hkl 0 1 3
2θ = 39.03°, d = 2.308 Å, rel. 16, hkl 3 0 1
2θ = 52.17°, d = 1.753 Å, rel. 21, hkl 2 2 2
2θ = 56.26°, d = 1.635 Å, rel. 11, hkl 3 2 1
2θ = 63.67°, d = 1.462 Å, rel. 16, hkl 3 1 4
2θ = 66.92°, d = 1.398 Å, rel. 14, hkl 2 3 1
2θ = 72.42°, d = 1.305 Å, rel. 10, hkl 5 1 2

***

(8)
Structure and simulated powder X-ray diffraction pattern of DyZnPd (a DFT-relaxed cell (GGA-PBE, the Materials Project); Cu Kα (weighted mean of Kα1 and Kα2)).
Neutral-atom scattering factors, no anomalous dispersion.

Cell and atoms:
a = 7.3458 Å, b = 7.3458 Å, c = 3.8253 Å
α = 90.00°, β = 90.00°, γ = 120.00°
Space group P-62m (No. 189)
One atom of each set of equivalent atoms:
Dy1 0.0000 0.4049 0.0000
Zn1 0.0000 0.7461 0.5000
Pd1 0.0000 0.0000 0.0000
Pd2 0.3333 0.6667 0.5000

Peak list (10 most intense, 15° ≤ 2θ ≤ 90°, sorted by position)
2θ = 33.83°, d = 2.649 Å, rel. 100, hkl 1 1 1
2θ = 36.75°, d = 2.446 Å, rel. 90, hkl 2 0 1
2θ = 37.40°, d = 2.404 Å, rel. 37, hkl 2 1 0
2θ = 42.64°, d = 2.121 Å, rel. 38, hkl 3 0 0
2θ = 44.51°, d = 2.036 Å, rel. 22, hkl 2 1 1
2θ = 47.54°, d = 1.913 Å, rel. 23, hkl 0 0 2
2θ = 57.52°, d = 1.602 Å, rel. 20, hkl 3 1 1
2θ = 62.00°, d = 1.497 Å, rel. 16, hkl 2 1 2
2θ = 65.75°, d = 1.420 Å, rel. 20, hkl 3 0 2
2θ = 68.86°, d = 1.364 Å, rel. 28, hkl 3 2 1